Entry 1:
Diffraction record for La2TmPb. The powder XRD pattern is simulated, not measured: it uses a cell relaxed with GGA-PBE and copper Kα.

Principal peaks in the range 2θ = 10–90°, in order of rising 2θ:
two_theta  I_rel
29.27  79
29.82  27
31.60  31
32.71  83
33.93  100
39.89  15
52.24  37
53.29  29
61.93  19
63.23  22

Structural model:
```
La2TmPb
1.0
6.8798 0.0000 0.0000
0.0000 9.0405 0.0000
0.0000 0.0000 8.2713
La Tm Pb
8 4 4
Direct
0.2500 0.0492 0.2500
0.2500 0.4508 0.2500
0.2500 0.5492 0.7500
0.2500 0.9508 0.7500
0.7500 0.0492 0.2500
0.7500 0.4508 0.2500
0.7500 0.5492 0.7500
0.7500 0.9508 0.7500
0.0000 0.2500 0.5645
0.0000 0.7500 0.4355
0.5000 0.2500 0.9355
0.5000 0.7500 0.0645
0.0000 0.2500 0.9497
0.0000 0.7500 0.0503
0.5000 0.2500 0.5503
0.5000 0.7500 0.4497
```



Entry 2:
Diffraction record for La3Tm4Pb4. The powder XRD pattern is simulated, not measured: it uses a cell relaxed with GGA-PBE and copper Kα.

Principal peaks in the range 2θ = 10–90°, in order of rising 2θ:
two_theta  I_rel
21.81  26
28.57  51
29.91  100
34.14  82
35.27  55
38.83  29
44.13  26
46.01  36
56.95  46
57.72  23

Structural model:
```
La3Tm4Pb4
1.0
-2.0522 2.5442 16.8621
2.0522 -2.5442 16.8621
2.0522 2.5442 -16.8621
La Tm Pb
3 4 4
Direct
0.0000 0.0000 0.0000
0.3540 0.8540 0.5000
0.6460 0.1460 0.5000
0.0950 0.5950 0.5000
0.2604 0.2604 0.0000
0.7396 0.7396 0.0000
0.9050 0.4050 0.5000
0.1854 0.6854 0.5000
0.4522 0.4522 0.0000
0.5478 0.5478 0.0000
0.8146 0.3146 0.5000
```



Entry 3:
Diffraction record for La2TmPb. The powder XRD pattern is simulated, not measured: it uses a cell relaxed with GGA-PBE and copper Kα.

Principal peaks in the range 2θ = 10–90°, in order of rising 2θ:
two_theta  I_rel
29.35  71
30.12  37
30.79  36
31.19  59
31.49  60
32.17  100
32.39  61
34.07  85
54.50  42
57.84  40

Structural model:
```
La2TmPb
1.0
6.7694 0.0000 0.0000
0.0000 6.6083 0.0000
-1.1815 0.0000 11.4752
La Tm Pb
8 4 4
Direct
0.0293 0.1892 0.2053
0.0293 0.3108 0.7053
0.2573 0.1628 0.4724
0.2573 0.3372 0.9724
0.7427 0.6628 0.0276
0.7427 0.8372 0.5276
0.9707 0.6892 0.2947
0.9707 0.8108 0.7947
0.4476 0.5710 0.2818
0.4476 0.9290 0.7818
0.5524 0.0710 0.2182
0.5524 0.4290 0.7182
0.2475 0.6795 0.5517
0.2475 0.8205 0.0517
0.7525 0.1795 0.9483
0.7525 0.3205 0.4483
```



Entry 4:
Diffraction record for La5TmPb6. The powder XRD pattern is simulated, not measured: it uses a cell relaxed with GGA-PBE and copper Kα.

Principal peaks in the range 2θ = 10–90°, in order of rising 2θ:
two_theta  I_rel
31.18  100
34.66  19
34.86  19
38.83  14
49.98  14
53.01  11
59.96  16
60.22  16
65.03  12
65.57  12

Structural model:
```
La5TmPb6
1.0
2.5736 -7.7647 0.0000
2.5736 7.7647 0.0000
0.0000 0.0000 9.2777
La Tm Pb
5 1 6
Direct
0.0000 0.0000 0.0000
0.3326 0.6674 0.0000
0.3364 0.6636 0.5000
0.6636 0.3364 0.5000
0.6674 0.3326 0.0000
0.0000 0.0000 0.5000
0.1634 0.8366 0.2542
0.1634 0.8366 0.7458
0.5000 0.5000 0.2533
0.5000 0.5000 0.7467
0.8366 0.1634 0.2542
0.8366 0.1634 0.7458
```



Entry 5:
Diffraction record for LaTmPb. The powder XRD pattern is simulated, not measured: it uses a cell relaxed with GGA-PBE and copper Kα.

Principal peaks in the range 2θ = 10–90°, in order of rising 2θ:
two_theta  I_rel
26.71  16
28.64  61
30.77  20
31.91  35
33.83  100
38.13  56
49.78  21
50.55  20
55.03  19
66.18  29

Structural model:
```
LaTmPb
1.0
4.7200 0.0000 0.0000
0.0000 4.7200 0.0000
0.0000 0.0000 17.4325
La Tm Pb
4 4 4
Direct
0.0000 0.0000 0.1760
0.0000 0.0000 0.8240
0.5000 0.5000 0.3240
0.5000 0.5000 0.6760
0.0000 0.5000 0.0000
0.0000 0.5000 0.5000
0.5000 0.0000 0.0000
0.5000 0.0000 0.5000
0.0000 0.0000 0.3713
0.0000 0.0000 0.6287
0.5000 0.5000 0.1287
0.5000 0.5000 0.8713
```



Entry 6:
Diffraction record for La3Tm2Pb3. The powder XRD pattern is simulated, not measured: it uses a cell relaxed with GGA-PBE and copper Kα.

Principal peaks in the range 2θ = 10–90°, in order of rising 2θ:
two_theta  I_rel
10.89  20
26.39  21
29.07  26
32.01  100
32.67  83
33.07  46
34.53  17
42.27  26
50.24  29
63.52  23

Structural model:
```
La3Tm2Pb3
1.0
9.3836 0.0000 0.0000
-4.6918 8.1264 0.0000
0.0000 0.0000 6.7552
La Tm Pb
6 4 6
Direct
0.0000 0.2435 0.2500
0.0000 0.7565 0.7500
0.2435 0.0000 0.2500
0.2435 0.2435 0.7500
0.7565 0.0000 0.7500
0.7565 0.7565 0.2500
0.3333 0.6667 0.0000
0.3333 0.6667 0.5000
0.6667 0.3333 0.0000
0.6667 0.3333 0.5000
0.0000 0.3985 0.7500
0.0000 0.6015 0.2500
0.3985 0.0000 0.7500
0.3985 0.3985 0.2500
0.6015 0.0000 0.2500
0.6015 0.6015 0.7500
```



Please write out number 1 again, unchanged.
Diffraction record for La2TmPb. The powder XRD pattern is simulated, not measured: it uses a cell relaxed with GGA-PBE and copper Kα.

Principal peaks in the range 2θ = 10–90°, in order of rising 2θ:
two_theta  I_rel
29.27  79
29.82  27
31.60  31
32.71  83
33.93  100
39.89  15
52.24  37
53.29  29
61.93  19
63.23  22

Structural model:
```
La2TmPb
1.0
6.8798 0.0000 0.0000
0.0000 9.0405 0.0000
0.0000 0.0000 8.2713
La Tm Pb
8 4 4
Direct
0.2500 0.0492 0.2500
0.2500 0.4508 0.2500
0.2500 0.5492 0.7500
0.2500 0.9508 0.7500
0.7500 0.0492 0.2500
0.7500 0.4508 0.2500
0.7500 0.5492 0.7500
0.7500 0.9508 0.7500
0.0000 0.2500 0.5645
0.0000 0.7500 0.4355
0.5000 0.2500 0.9355
0.5000 0.7500 0.0645
0.0000 0.2500 0.9497
0.0000 0.7500 0.0503
0.5000 0.2500 0.5503
0.5000 0.7500 0.4497
```